# Ho3PaCo8
Computed powder diffractogram, Cu Kα X-rays. Input: a DFT-relaxed cell (PBE, Alexandria).

Atomic structure:
Cell: 5.0226 5.0226 24.6785 Å, 90.00 90.00 120.00°
Space group R3m (No. 160, hexagonal axes)
Unique sites:
Ho1 0.0000 0.0000 0.0000 x3
Ho2 0.0000 0.0000 0.1244 x3
Ho3 0.0000 0.0000 0.6273 x3
Pa1 0.0000 0.0000 0.5020 x3
Co1 0.0000 0.0000 0.3137 x3
Co2 0.0000 0.0000 0.8133 x3
Co3 0.0018 0.5009 0.0641 x9
Co4 0.1676 0.3352 0.8957 x9

Peak list (10 most intense, 2θ from 5° to 70°, in order of rising 2θ)
- hkl 0 1 2, 21.65°, rel. 21
- hkl 1 1 0, 35.72°, rel. 71
- hkl 1 0 10, 42.15°, rel. 100
- hkl 0 0 12, 44.03°, rel. 3
- hkl 0 2 4, 44.15°, rel. 10
- hkl 1 2 2, 56.47°, rel. 3
- hkl 1 0 16, 64.05°, rel. 7
- hkl 3 0 0, 64.21°, rel. 20
- hkl 0 0 18, 68.50°, rel. 8
- hkl 2 1 10, 68.61°, rel. 23

***

# Tm3Si4Os
Computed powder diffractogram, Cu Kα X-rays. Input: a DFT-relaxed cell (PBE, Alexandria).

Atomic structure:
Cell: 4.1962 5.5610 14.3679 Å, 90.00 90.00 90.00°
Space group Immm (No. 71)
Unique sites:
Tm1 0.0000 0.0000 0.0000 x2
Tm2 0.0000 0.5000 0.1940 x4
Si1 0.0000 0.2909 0.3776 x8
Os1 0.0000 0.0000 0.5000 x2

Peak list (10 most intense, 2θ from 5° to 70°, in order of rising 2θ)
- hkl 0 1 3, 24.53°, rel. 14
- hkl 1 1 2, 29.42°, rel. 100
- hkl 0 2 0, 32.19°, rel. 19
- hkl 1 1 4, 36.68°, rel. 16
- hkl 0 2 4, 41.05°, rel. 14
- hkl 2 0 0, 43.12°, rel. 15
- hkl 1 2 3, 43.37°, rel. 13
- hkl 0 2 6, 50.27°, rel. 13
- hkl 1 3 2, 55.70°, rel. 17
- hkl 1 1 8, 58.29°, rel. 17

***

# Zr5ZnSn3
Computed powder diffractogram, Cu Kα X-rays. Input: a DFT-relaxed cell (PBE, Alexandria).

Atomic structure:
Cell: 8.7100 8.7100 5.9003 Å, 90.00 90.00 120.00°
Space group P6_3/mcm (No. 193)
Unique sites:
Zr1 0.0000 0.2678 0.2500 x6
Zr2 0.3333 0.6667 0.0000 x4
Zn1 0.0000 0.0000 0.0000 x2
Sn1 0.0000 0.3839 0.7500 x6

Peak list (10 most intense, 2θ from 5° to 70°, in order of rising 2θ)
- hkl 0 0 2, 30.30°, rel. 14
- hkl 2 1 1, 34.95°, rel. 71
- hkl 3 0 0, 35.71°, rel. 86
- hkl 1 1 2, 36.80°, rel. 100
- hkl 3 1 1, 46.03°, rel. 22
- hkl 2 2 2, 52.21°, rel. 25
- hkl 3 2 1, 55.32°, rel. 11
- hkl 2 1 3, 56.87°, rel. 17
- hkl 4 1 2, 64.87°, rel. 15
- hkl 4 2 1, 67.61°, rel. 14